No. 1
ErPd3Au3: calculated PXRD pattern (λ = 1.5418 Å (Cu Kα)), based on the PBE geometry in Alexandria.
Lines closer than 0.1° are merged.

Largest 12 diffraction maxima, in order of rising 2θ, 5° ≤ 2θ ≤ 70°:
Position (°2θ), intensity, index
26.59, 20.9, 0 0 2
27.70, 19.2, 2 0 0
29.27, 19.3, 0 2 0
38.16, 56.3, 2 0 -2
39.37, 47.9, 2 0 2
39.95, 100.0, 0 2 2
40.74, 95.2, 2 2 0
48.81, 8.5, 2 2 -2
54.75, 17.0, 0 0 4
57.22, 15.2, 4 0 0
60.69, 15.5, 0 4 0
69.63, 17.0, 2 2 -4

Crystal structure
Cell: 6.443 6.103 6.709 Å, 90.00 91.72 90.00°
Space group P2/m (No. 10)
Asymmetric unit:
Er 0.232 0.000 0.233
Pd 0.000 0.256 0.500
Pd 0.500 0.252 0.000
Pd 0.500 0.264 0.500
Au 0.220 0.500 0.218
Au 0.227 0.500 0.775
Au 0.247 0.000 0.752



No. 2
Er2Pd3Au3: calculated PXRD pattern (λ = 1.5418 Å (Cu Kα)), based on the PBE geometry in Alexandria.
Lines closer than 0.1° are merged.

Largest 12 diffraction maxima, in order of rising 2θ, 5° ≤ 2θ ≤ 70°:
Position (°2θ), intensity, index
33.52, 66.9, 2 0 2
37.04, 86.3, 1 1 3
38.19, 100.0, 2 1 1
40.02, 46.1, 1 0 4
41.63, 89.3, 1 2 2
42.16, 25.6, 3 0 0
61.46, 25.7, 1 2 5
63.15, 20.9, 1 1 6
63.83, 17.1, 3 2 1
65.11, 17.4, 1 3 4
66.27, 18.5, 2 3 2
66.65, 24.6, 4 1 0

Crystal structure
Cell: 7.4250 7.4250 9.6224 Å, 90.00 90.00 120.00°
Space group R32 (No. 155, hexagonal axes)
Asymmetric unit:
Er 0.0000 0.0000 0.2447
Pd 0.0000 0.2402 0.0000
Au 0.0000 0.7583 0.5000



No. 3
ErPd3Au6: calculated PXRD pattern (λ = 1.5418 Å (Cu Kα)), based on the PBE geometry in Alexandria.
Lines closer than 0.1° are merged.

Largest 12 diffraction maxima, in order of rising 2θ, 5° ≤ 2θ ≤ 70°:
Position (°2θ), intensity, index
25.35, 5.2, 1 1 1
35.21, 12.8, 2 0 2
35.71, 22.5, 1 0 -4
37.09, 42.3, 0 2 0
39.96, 50.2, 2 1 2
40.41, 100.0, 3 1 -2
52.07, 8.4, 2 2 2
52.43, 15.1, 1 2 -4
63.50, 17.2, 5 0 0
64.47, 8.4, 4 0 -6
68.79, 10.3, 2 3 2
69.10, 20.8, 3 3 -2

Crystal structure
Cell: 7.713 4.848 10.055 Å, 90.00 108.15 90.00°
Space group P2_1/m (No. 11)
Asymmetric unit:
Er 0.200 0.250 0.132
Pd 0.006 0.250 0.335
Pd 0.203 0.750 0.465
Pd 0.400 0.250 0.933
Au 0.004 0.250 0.826
Au 0.191 0.250 0.626
Au 0.207 0.750 0.961
Au 0.392 0.750 0.761
Au 0.398 0.250 0.436
Au 0.405 0.750 0.268



No. 4
Er3PdAu: calculated PXRD pattern (λ = 1.5418 Å (Cu Kα)), based on the PBE geometry in Alexandria.
Lines closer than 0.1° are merged.

Largest 12 diffraction maxima, in order of rising 2θ, 5° ≤ 2θ ≤ 70°:
Position (°2θ), intensity, index
27.06, 26.7, 0 2 1
29.78, 43.6, 1 0 2
32.38, 41.3, 1 1 2
32.94, 12.7, 0 1 3
34.97, 100.0, 1 2 1
39.79, 37.4, 0 2 3
44.29, 24.7, 2 0 0
46.76, 12.0, 1 0 4
49.02, 11.6, 1 3 2
51.46, 15.8, 0 4 0
60.59, 11.9, 1 4 2
61.02, 12.7, 2 2 3

Crystal structure
Cell: 4.090 7.103 8.830 Å, 90.00 90.00 90.00°
Space group Pmmn (No. 59, origin choice 2)
Asymmetric unit:
Er 0.250 0.005 0.177
Er 0.250 0.250 0.557
Pd 0.250 0.250 0.915
Au 0.250 0.750 0.671



No. 5
ErPd4Au7: calculated PXRD pattern (λ = 1.5418 Å (Cu Kα)), based on the PBE geometry in Alexandria.
Lines closer than 0.1° are merged.

Largest 12 diffraction maxima, in order of rising 2θ, 5° ≤ 2θ ≤ 70°:
Position (°2θ), intensity, index
25.32, 39.7, 1 1 -2
33.65, 41.4, 4 0 -1
34.36, 65.0, 4 0 -3
35.13, 100.0, 0 2 0
37.06, 28.7, 2 0 -4
40.14, 93.3, 3 1 1
43.44, 49.1, 1 1 -4
44.90, 28.3, 5 1 -3
49.44, 21.2, 4 2 -1
49.95, 40.0, 4 2 -3
51.99, 22.0, 2 2 -4
66.42, 21.2, 3 3 1

Crystal structure
Cell: 11.142 5.109 9.777 Å, 90.00 122.85 90.00°
Space group C2/m (No. 12)
Asymmetric unit:
Er 0.000 0.000 0.000
Pd 0.071 0.500 0.774
Pd 0.217 0.500 0.324
Au 0.000 0.500 0.000
Au 0.067 0.000 0.348
Au 0.147 0.500 0.556
Au 0.210 0.000 0.908



No. 6
ErPd5Au2: calculated PXRD pattern (λ = 1.5418 Å (Cu Kα)), based on the PBE geometry in Alexandria.
Lines closer than 0.1° are merged.

Largest 12 diffraction maxima, in order of rising 2θ, 5° ≤ 2θ ≤ 70°:
Position (°2θ), intensity, index
21.40, 1.2, 0 0 1
21.96, 4.9, 1 2 0
27.65, 1.2, 1 1 1
30.85, 4.5, 1 2 1
38.20, 100.0, 0 4 1
39.00, 1.8, 2 1 1
43.60, 17.6, 0 0 2
44.79, 31.1, 2 4 0
49.33, 1.3, 1 2 2
64.28, 21.1, 2 4 2
65.11, 4.5, 4 0 0
65.30, 5.2, 0 8 0

Crystal structure
Cell: 5.731 11.432 4.152 Å, 90.00 90.00 90.00°
Space group Pbam (No. 55)
Asymmetric unit:
Er 0.000 0.000 0.000
Pd 0.000 0.500 0.000
Pd 0.021 0.249 0.000
Pd 0.238 0.876 0.500
Au 0.230 0.629 0.500



No. 7
Er2Pd8Au3: calculated PXRD pattern (λ = 1.5418 Å (Cu Kα)), based on the PBE geometry in Alexandria.
Lines closer than 0.1° are merged.

Largest 12 diffraction maxima, in order of rising 2θ, 5° ≤ 2θ ≤ 70°:
Position (°2θ), intensity, index
24.38, 26.8, 0 1 5
34.15, 62.9, 1 1 0
35.32, 16.8, 1 0 10
37.90, 100.0, 0 1 11
38.57, 44.3, 1 1 6
40.10, 42.0, 2 0 2
41.43, 14.2, 0 2 4
42.41, 37.9, 2 0 5
43.55, 18.5, 1 1 9
51.87, 16.9, 1 0 16
61.14, 11.9, 3 0 0
63.63, 44.3, 1 2 11

Crystal structure
Cell: 5.2506 5.2506 30.6160 Å, 90.00 90.00 120.00°
Space group R-3m (No. 166, hexagonal axes)
Asymmetric unit:
Er 0.0000 0.0000 0.1349
Pd 0.0000 0.0000 0.2242
Pd 0.0018 0.5009 0.2724
Au 0.0000 0.0000 0.3150
Au 0.0000 0.0000 0.5000



No. 8
ErPd5Au4: calculated PXRD pattern (λ = 1.5418 Å (Cu Kα)), based on the PBE geometry in Alexandria.
Lines closer than 0.1° are merged.

Largest 12 diffraction maxima, in order of rising 2θ, 5° ≤ 2θ ≤ 70°:
Position (°2θ), intensity, index
20.71, 10.7, 0 1 1
28.44, 25.4, 2 0 1
28.63, 21.5, 1 2 1
33.86, 11.9, 3 1 0
34.32, 41.2, 2 2 1
37.58, 15.1, 3 0 1
38.16, 58.6, 0 4 0
42.14, 53.1, 0 2 2
42.35, 100.0, 3 2 1
48.28, 12.0, 2 4 1
54.64, 9.9, 3 4 1
67.52, 19.5, 3 0 3

Crystal structure
Cell: 8.275 9.433 4.815 Å, 90.00 90.00 90.00°
Space group Pmmn (No. 59, origin choice 2)
Asymmetric unit:
Er 0.250 0.250 0.101
Pd 0.082 0.507 0.244
Pd 0.250 0.750 0.079
Au 0.052 0.750 0.577
Au 0.250 0.001 0.739



No. 9
PmErPdAu: calculated PXRD pattern (λ = 1.5418 Å (Cu Kα)), based on the PBE geometry in Alexandria.
Lines closer than 0.1° are merged.

Largest 7 diffraction maxima, in order of rising 2θ, 5° ≤ 2θ ≤ 70°:
Position (°2θ), intensity, index
21.44, 4.7, 1 1 1
35.37, 100.0, 2 2 0
41.73, 2.9, 3 1 1
50.88, 17.8, 4 0 0
55.83, 1.3, 3 3 1
63.49, 36.7, 4 2 2
67.84, 1.0, 5 1 1

Crystal structure
Cell: 7.178 7.178 7.178 Å, 90.00 90.00 90.00°
Space group F-43m (No. 216)
Asymmetric unit:
Pm 0.000 0.000 0.000
Er 0.000 0.000 0.500
Pd 0.250 0.250 0.250
Au 0.250 0.250 0.750



No. 10
PrErPdAu: calculated PXRD pattern (λ = 1.5418 Å (Cu Kα)), based on the PBE geometry in Alexandria.
Lines closer than 0.1° are merged.

Largest 12 diffraction maxima, in order of rising 2θ, 5° ≤ 2θ ≤ 70°:
Position (°2θ), intensity, index
31.11, 100.0, 1 1 1
33.36, 27.9, 0 0 4
34.30, 20.0, 0 1 3
37.75, 36.4, 2 0 0
38.47, 24.3, 1 0 4
39.31, 75.1, 1 1 3
47.54, 18.9, 0 2 0
51.25, 16.7, 2 0 4
51.92, 12.5, 2 1 3
62.24, 16.9, 2 2 0
64.05, 12.7, 3 1 1
69.20, 14.2, 3 1 3

Crystal structure
Cell: 4.766 3.825 10.745 Å, 90.00 90.00 90.00°
Space group Amm2 (No. 38)
Asymmetric unit:
Pr 0.000 0.000 0.000
Er 0.500 0.000 0.724
Pd 0.000 0.000 0.272
Au 0.500 0.000 0.442



No. 11
Er4PdRu2Au: calculated PXRD pattern (λ = 1.5418 Å (Cu Kα)), based on the PBE geometry in Alexandria.
Lines closer than 0.1° are merged.

Largest 12 diffraction maxima, in order of rising 2θ, 5° ≤ 2θ ≤ 70°:
Position (°2θ), intensity, index
11.12, 1.0, 0 0 3
21.42, 1.0, 1 0 1
22.37, 1.6, 0 1 2
25.89, 1.9, 1 0 4
28.25, 0.9, 0 1 5
33.82, 0.7, 1 0 7
36.94, 100.0, 1 1 0
43.61, 1.0, 1 0 10
45.66, 0.6, 0 2 4
53.23, 17.5, 2 0 8
60.12, 0.8, 2 1 4
66.55, 35.6, 3 0 0

Crystal structure
Cell: 4.8652 4.8652 23.8650 Å, 90.00 90.00 120.00°
Space group R-3m (No. 166, hexagonal axes)
Asymmetric unit:
Er 0.0000 0.0000 0.1235
Er 0.0000 0.0000 0.3738
Pd 0.0000 0.0000 0.0000
Ru 0.0000 0.0000 0.2502
Au 0.0000 0.0000 0.5000



No. 12
Pm2Er2Au3: calculated PXRD pattern (λ = 1.5418 Å (Cu Kα)), based on the PBE geometry in Alexandria.
Lines closer than 0.1° are merged.

Largest 12 diffraction maxima, in order of rising 2θ, 5° ≤ 2θ ≤ 70°:
Position (°2θ), intensity, index
24.19, 8.7, 2 1 1
31.39, 100.0, 3 0 1
34.48, 1.3, 2 2 2
37.34, 64.1, 3 1 2
44.99, 16.5, 4 2 0
47.32, 12.2, 3 3 2
49.56, 12.7, 4 2 2
51.73, 20.9, 4 3 1
55.89, 2.6, 5 1 2
63.66, 27.6, 6 1 1
65.52, 11.4, 6 0 2
67.35, 14.0, 5 4 1

Crystal structure
Cell: 9.011 9.011 9.011 Å, 90.00 90.00 90.00°
Space group I2_13 (No. 199)
Asymmetric unit:
Pm 0.177 0.177 0.177
Er 0.068 0.432 0.568
Au 0.000 0.250 0.861



Please write out number 1 again, unchanged.
ErPd3Au3: calculated PXRD pattern (λ = 1.5418 Å (Cu Kα)), based on the PBE geometry in Alexandria.
Lines closer than 0.1° are merged.

Largest 12 diffraction maxima, in order of rising 2θ, 5° ≤ 2θ ≤ 70°:
Position (°2θ), intensity, index
26.59, 20.9, 0 0 2
27.70, 19.2, 2 0 0
29.27, 19.3, 0 2 0
38.16, 56.3, 2 0 -2
39.37, 47.9, 2 0 2
39.95, 100.0, 0 2 2
40.74, 95.2, 2 2 0
48.81, 8.5, 2 2 -2
54.75, 17.0, 0 0 4
57.22, 15.2, 4 0 0
60.69, 15.5, 0 4 0
69.63, 17.0, 2 2 -4

Crystal structure
Cell: 6.443 6.103 6.709 Å, 90.00 91.72 90.00°
Space group P2/m (No. 10)
Asymmetric unit:
Er 0.232 0.000 0.233
Pd 0.000 0.256 0.500
Pd 0.500 0.252 0.000
Pd 0.500 0.264 0.500
Au 0.220 0.500 0.218
Au 0.227 0.500 0.775
Au 0.247 0.000 0.752



Question: Number 9 is which compound?
Answer: PmErPdAu